Computed powder XRD pattern of Na3SiNiCO7 for Cu Ka, from a PBE+U-relaxed structure.
Kinematic intensities with the Lorentz-polarization factor, no thermal factor.

Most intense lines, 2θ from 15° to 90°, sorted by position:
2theta, d [Å], intensity
16.8, 5.262, 40
19.3, 4.598, 24
27.6, 3.230, 69
30.0, 2.982, 24
33.9, 2.643, 37
34.1, 2.631, 44
34.3, 2.611, 100
41.7, 2.166, 29
49.1, 1.856, 31
57.0, 1.615, 25

Crystal structure
Cell lengths 5.223, 6.461, 9.077 Å; angles 90.00, 92.13, 90.00 degrees
Space group P2_1/m (No. 11)
Asymmetric unit:
Na (0.231, 0.250, 0.087) (multiplicity 2)
Na (0.252, 0.512, 0.728) (multiplicity 4)
Si (0.294, 0.250, 0.430) (multiplicity 2)
Ni (0.216, 0.750, 0.345) (multiplicity 2)
C (0.283, 0.750, 0.062) (multiplicity 2)
O (0.071, 0.750, 0.135) (multiplicity 2)
O (0.140, 0.250, 0.580) (multiplicity 2)
O (0.231, 0.054, 0.316) (multiplicity 4)
O (0.266, 0.750, 0.920) (multiplicity 2)
O (0.391, 0.750, 0.534) (multiplicity 2)
O (0.498, 0.750, 0.134) (multiplicity 2)



Computed powder XRD pattern of Na6SiNi2C4O16 for Cu Ka, from a PBE+U-relaxed structure.
Kinematic intensities with the Lorentz-polarization factor, no thermal factor.

Most intense lines, 2θ from 15° to 90°, sorted by position:
2theta, d [Å], intensity
21.1, 4.211, 85
22.0, 4.032, 17
33.3, 2.688, 100
36.4, 2.469, 71
38.1, 2.361, 24
43.0, 2.106, 24
46.4, 1.956, 25
57.1, 1.613, 35
57.5, 1.602, 21
69.6, 1.350, 16

Crystal structure
Cell lengths 13.967, 13.967, 13.967 Å; angles 90.00, 90.00, 90.00 degrees
Space group Fd-3 (No. 203, origin choice 2)
Asymmetric unit:
Na (0.088, 0.375, 0.375) (multiplicity 48)
Si (0.125, 0.125, 0.125) (multiplicity 8)
Ni (0.000, 0.000, 0.500) (multiplicity 16)
C (0.034, 0.034, 0.716) (multiplicity 32)
O (0.021, 0.104, 0.776) (multiplicity 96)
O (0.057, 0.057, 0.057) (multiplicity 32)



Computed powder XRD pattern of Na3VPCO7 for Cu Ka, from a PBE+U-relaxed structure.
Kinematic intensities with the Lorentz-polarization factor, no thermal factor.

Most intense lines, 2θ from 15° to 90°, sorted by position:
2theta, d [Å], intensity
16.5, 5.383, 70
19.9, 4.456, 25
26.3, 3.388, 100
32.7, 2.741, 60
32.9, 2.718, 68
33.3, 2.693, 98
34.1, 2.630, 53
37.4, 2.405, 33
48.2, 1.890, 42
54.1, 1.694, 40

Crystal structure
Cell lengths 5.382, 6.777, 8.916 Å; angles 90.00, 91.51, 90.00 degrees
Space group P2_1 (No. 4)
Asymmetric unit:
Na (0.001, 0.000, 0.000) (multiplicity 2)
Na (0.444, 0.252, 0.838) (multiplicity 2)
Na (0.496, 0.001, 0.501) (multiplicity 2)
V (0.050, 0.750, 0.720) (multiplicity 2)
P (0.015, 0.750, 0.343) (multiplicity 2)
C (0.499, 0.250, 0.164) (multiplicity 2)
O (0.080, 0.433, 0.751) (multiplicity 2)
O (0.081, 0.067, 0.750) (multiplicity 2)
O (0.111, 0.250, 0.502) (multiplicity 2)
O (0.271, 0.250, 0.113) (multiplicity 2)
O (0.301, 0.750, 0.358) (multiplicity 2)
O (0.315, 0.750, 0.930) (multiplicity 2)
O (0.449, 0.749, 0.694) (multiplicity 2)



Computed powder XRD pattern of NaVPCO7 for Cu Ka, from a PBE+U-relaxed structure.
Kinematic intensities with the Lorentz-polarization factor, no thermal factor.

Most intense lines, 2θ from 15° to 90°, sorted by position:
2theta, d [Å], intensity
17.2, 5.166, 33
18.9, 4.696, 73
19.5, 4.559, 89
25.8, 3.452, 21
27.7, 3.217, 100
32.7, 2.735, 19
34.1, 2.631, 15
34.7, 2.586, 23
44.9, 2.018, 16
57.3, 1.608, 14

Crystal structure
Cell lengths 5.474, 6.433, 8.671 Å; angles 90.00, 91.87, 90.00 degrees
Space group P2_1/m (No. 11)
Asymmetric unit:
Na (0.222, 0.250, 0.078) (multiplicity 2)
V (0.227, 0.750, 0.338) (multiplicity 2)
P (0.261, 0.250, 0.434) (multiplicity 2)
C (0.302, 0.750, 0.061) (multiplicity 2)
O (0.073, 0.250, 0.564) (multiplicity 2)
O (0.080, 0.750, 0.120) (multiplicity 2)
O (0.225, 0.060, 0.328) (multiplicity 4)
O (0.344, 0.750, 0.921) (multiplicity 2)
O (0.472, 0.750, 0.174) (multiplicity 2)
O (0.479, 0.750, 0.490) (multiplicity 2)



Computed powder XRD pattern of Na3VPCO7 for Cu Ka, from a PBE+U-relaxed structure.
Kinematic intensities with the Lorentz-polarization factor, no thermal factor.

Most intense lines, 2θ from 15° to 90°, sorted by position:
2theta, d [Å], intensity
19.8, 4.488, 29
26.1, 3.415, 90
32.6, 2.748, 53
33.0, 2.718, 100
33.9, 2.645, 93
35.0, 2.563, 24
37.5, 2.401, 26
41.2, 2.192, 25
48.6, 1.875, 53
53.7, 1.708, 33

Crystal structure
Cell lengths 5.293, 6.830, 8.980 Å; angles 90.00, 92.01, 90.00 degrees
Space group P2_1/m (No. 11)
Asymmetric unit:
Na (0.224, 0.250, 0.084) (multiplicity 2)
Na (0.258, 0.511, 0.726) (multiplicity 4)
V (0.221, 0.750, 0.344) (multiplicity 2)
P (0.282, 0.250, 0.413) (multiplicity 2)
C (0.293, 0.750, 0.057) (multiplicity 2)
O (0.068, 0.750, 0.112) (multiplicity 2)
O (0.151, 0.250, 0.565) (multiplicity 2)
O (0.205, 0.068, 0.317) (multiplicity 4)
O (0.324, 0.750, 0.915) (multiplicity 2)
O (0.425, 0.750, 0.557) (multiplicity 2)
O (0.488, 0.750, 0.152) (multiplicity 2)



Computed powder XRD pattern of Na3VPCO7 for Cu Ka, from a PBE+U-relaxed structure.
Kinematic intensities with the Lorentz-polarization factor, no thermal factor.

Most intense lines, 2θ from 15° to 90°, sorted by position:
2theta, d [Å], intensity
16.5, 5.388, 71
26.3, 3.386, 100
32.7, 2.740, 61
32.9, 2.718, 68
33.2, 2.695, 99
34.1, 2.632, 54
37.4, 2.407, 33
48.1, 1.891, 42
54.0, 1.697, 25
54.2, 1.693, 34

Crystal structure
Cell lengths 5.388, 6.772, 8.921 Å; angles 90.00, 91.48, 90.00 degrees
Space group P2_1 (No. 4)
Asymmetric unit:
Na (0.001, 0.000, 0.499) (multiplicity 2)
Na (0.445, 0.258, 0.338) (multiplicity 2)
Na (0.498, 0.002, 0.002) (multiplicity 2)
V (0.048, 0.750, 0.220) (multiplicity 2)
P (0.015, 0.750, 0.844) (multiplicity 2)
C (0.498, 0.750, 0.337) (multiplicity 2)
O (0.079, 0.067, 0.250) (multiplicity 2)
O (0.079, 0.433, 0.250) (multiplicity 2)
O (0.112, 0.250, 0.002) (multiplicity 2)
O (0.273, 0.249, 0.612) (multiplicity 2)
O (0.301, 0.752, 0.859) (multiplicity 2)
O (0.313, 0.749, 0.430) (multiplicity 2)
O (0.447, 0.750, 0.195) (multiplicity 2)



Please write out number 1 again, unchanged.
Computed powder XRD pattern of Na3SiNiCO7 for Cu Ka, from a PBE+U-relaxed structure.
Kinematic intensities with the Lorentz-polarization factor, no thermal factor.

Most intense lines, 2θ from 15° to 90°, sorted by position:
2theta, d [Å], intensity
16.8, 5.262, 40
19.3, 4.598, 24
27.6, 3.230, 69
30.0, 2.982, 24
33.9, 2.643, 37
34.1, 2.631, 44
34.3, 2.611, 100
41.7, 2.166, 29
49.1, 1.856, 31
57.0, 1.615, 25

Crystal structure
Cell lengths 5.223, 6.461, 9.077 Å; angles 90.00, 92.13, 90.00 degrees
Space group P2_1/m (No. 11)
Asymmetric unit:
Na (0.231, 0.250, 0.087) (multiplicity 2)
Na (0.252, 0.512, 0.728) (multiplicity 4)
Si (0.294, 0.250, 0.430) (multiplicity 2)
Ni (0.216, 0.750, 0.345) (multiplicity 2)
C (0.283, 0.750, 0.062) (multiplicity 2)
O (0.071, 0.750, 0.135) (multiplicity 2)
O (0.140, 0.250, 0.580) (multiplicity 2)
O (0.231, 0.054, 0.316) (multiplicity 4)
O (0.266, 0.750, 0.920) (multiplicity 2)
O (0.391, 0.750, 0.534) (multiplicity 2)
O (0.498, 0.750, 0.134) (multiplicity 2)